Entry 1:
Starting from a DFT-relaxed cell (GGA-PBE, the Materials Project), the PXRD pattern of Zr6Zn23Ge was calculated for λ = 1.5418 Å (Cu Kα).
Kinematic intensities with the Lorentz-polarization factor, no thermal factor.

Most intense lines, 10 to 80 degrees two-theta, in order of falling intensity:
- 2θ = 40.97°, intensity 1000, (4 4 0)
- 2θ = 37.50°, intensity 412, (3 3 3)
- 2θ = 74.62°, intensity 161, (8 4 4)
- 2θ = 43.57°, intensity 105, (6 0 0)
- 2θ = 32.12°, intensity 97, (4 2 0)
- 2θ = 35.28°, intensity 85, (4 2 2)
- 2θ = 75.98°, intensity 84, (9 3 3)
- 2θ = 59.32°, intensity 83, (8 0 0)
- 2θ = 72.33°, intensity 81, (9 3 1)
- 2θ = 63.32°, intensity 74, (6 6 0)
- 2θ = 79.57°, intensity 68, (7 7 3)
- 2θ = 42.93°, intensity 65, (5 3 1)

Cell lengths 12.462, 12.462, 12.462 Å; angles 90.00, 90.00, 90.00 degrees
Space group Fm-3m (No. 225)
One atom of each set of equivalent atoms:
Zr1 0.000 0.000 0.213 [24 per cell]
Zn1 0.000 0.000 0.500 [4 per cell]
Zn2 0.000 0.250 0.250 [24 per cell]
Zn3 0.123 0.123 0.377 [32 per cell]
Zn4 0.164 0.164 0.164 [32 per cell]
Ge1 0.000 0.000 0.000 [4 per cell]


Entry 2:
Starting from a DFT-relaxed cell (GGA-PBE, the Materials Project), the PXRD pattern of ThTe2I2 was calculated for λ = 1.5418 Å (Cu Kα).
Kinematic intensities with the Lorentz-polarization factor, no thermal factor.

Most intense lines, 10 to 80 degrees two-theta, in order of falling intensity:
- 2θ = 26.70°, intensity 1000, (1 3 1)
- 2θ = 11.54°, intensity 675, (0 0 1)
- 2θ = 30.17°, intensity 456, (2 2 -2)
- 2θ = 13.43°, intensity 410, (1 1 0)
- 2θ = 33.72°, intensity 237, (1 1 -3)
- 2θ = 34.90°, intensity 227, (3 1 -1)
- 2θ = 38.95°, intensity 217, (2 0 2)
- 2θ = 34.07°, intensity 214, (0 4 2)
- 2θ = 34.66°, intensity 206, (2 4 0)
- 2θ = 14.96°, intensity 186, (1 1 -1)
- 2θ = 37.24°, intensity 179, (0 6 0)
- 2θ = 46.07°, intensity 170, (1 7 -1)

Cell lengths 7.837, 14.475, 8.113 Å; angles 90.00, 109.08, 90.00 degrees
Space group C2/m (No. 12)
One atom of each set of equivalent atoms:
Th1 0.000 0.143 0.000 [4 per cell]
Te1 0.120 0.000 0.325 [4 per cell]
Te2 0.169 0.500 0.889 [4 per cell]
I1 0.231 0.210 0.757 [8 per cell]


Entry 3:
Starting from a DFT-relaxed cell (GGA-PBE, the Materials Project), the PXRD pattern of LiH6IO7 was calculated for λ = 1.5418 Å (Cu Kα).
Kinematic intensities with the Lorentz-polarization factor, no thermal factor.

Most intense lines, 10 to 80 degrees two-theta, in order of falling intensity:
- 2θ = 17.22°, intensity 1000, (0 1 -1)
- 2θ = 18.20°, intensity 509, (1 -1 0)
- 2θ = 19.00°, intensity 393, (0 0 2)
- 2θ = 17.97°, intensity 336, (1 0 -1)
- 2θ = 28.26°, intensity 203, (1 0 2)
- 2θ = 22.03°, intensity 195, (0 1 1)
- 2θ = 30.76°, intensity 185, (1 -2 1)
- 2θ = 27.51°, intensity 179, (-1 1 2)
- 2θ = 44.35°, intensity 161, (-1 1 4)
- 2θ = 17.31°, intensity 154, (0 1 0)
- 2θ = 38.11°, intensity 152, (2 0 1)
- 2θ = 19.83°, intensity 149, (1 -1 1)

Cell lengths 5.761, 5.875, 9.783 Å; angles 102.93, 94.80, 114.50 degrees
Space group P-1 (No. 2)
One atom of each set of equivalent atoms:
Li1 0.242 0.227 0.008 [2 per cell]
H1 0.039 0.725 0.142 [2 per cell]
H2 0.052 0.712 0.729 [2 per cell]
H3 0.120 0.871 0.433 [2 per cell]
H4 0.224 0.785 0.983 [2 per cell]
H5 0.282 0.506 0.587 [2 per cell]
H6 0.428 0.773 0.268 [2 per cell]
I1 0.389 0.326 0.283 [2 per cell]
O1 0.066 0.214 0.226 [2 per cell]
O2 0.100 0.835 0.046 [2 per cell]
O3 0.208 0.338 0.459 [2 per cell]
O4 0.267 0.567 0.677 [2 per cell]
O5 0.302 0.963 0.354 [2 per cell]
O6 0.433 0.670 0.896 [2 per cell]
O7 0.497 0.689 0.198 [2 per cell]


Entry 4:
Starting from a DFT-relaxed cell (GGA-PBE, the Materials Project), the PXRD pattern of NaHf4N4Cl4 was calculated for λ = 1.5418 Å (Cu Kα).
Kinematic intensities with the Lorentz-polarization factor, no thermal factor.

Most intense lines, 10 to 80 degrees two-theta, in order of falling intensity:
- 2θ = 32.03°, intensity 1000, (1 1 -2)
- 2θ = 28.91°, intensity 580, (2 0 0)
- 2θ = 41.46°, intensity 406, (2 0 -4)
- 2θ = 35.28°, intensity 390, (1 1 2)
- 2θ = 50.07°, intensity 344, (0 2 0)
- 2θ = 35.81°, intensity 197, (0 0 4)
- 2θ = 60.68°, intensity 158, (2 2 1)
- 2θ = 63.03°, intensity 149, (0 2 4)
- 2θ = 50.92°, intensity 118, (3 1 -2)
- 2θ = 69.67°, intensity 105, (3 1 -6)
- 2θ = 45.20°, intensity 100, (0 0 5)
- 2θ = 59.87°, intensity 96, (1 1 -6)

Cell lengths 6.307, 3.646, 10.254 Å; angles 90.00, 101.98, 90.00 degrees
Space group P2/m (No. 10)
One atom of each set of equivalent atoms:
Na1 0.000 0.000 0.000 [1 per cell]
Hf1 0.209 0.000 0.619 [2 per cell]
Hf2 0.294 0.500 0.376 [2 per cell]
N1 0.133 0.000 0.408 [2 per cell]
N2 0.361 0.500 0.589 [2 per cell]
Cl1 0.110 0.500 0.823 [2 per cell]
Cl2 0.395 0.000 0.184 [2 per cell]